# 1
The following is a computed powder diffraction line list of HoTmTaN3. It was derived from the GGA-PBE geometry in Alexandria, using Cu Kα (weighted mean of Kα1 and Kα2).
Neutral-atom scattering factors, no anomalous dispersion.

The 10 most intense peaks (5 to 70 degrees two-theta), in order of falling intensity:
2θ/deg, I/Imax
32.8, 100.0
39.9, 61.2
33.8, 54.5
16.5, 45.5
31.3, 42.6
33.3, 35.2
17.4, 33.6
28.2, 30.1
42.2, 23.4
44.5, 21.1

Atomic structure:
```
data_HoTmTaN3
_chemical_formula_sum 'Ho2 Tm2 Ta2 N6'
_cell_length_a 6.3461
_cell_length_b 3.2261
_cell_length_c 9.3502
_cell_angle_alpha 90.00
_cell_angle_beta 93.24
_cell_angle_gamma 90.00
_space_group_name_H-M_alt 'P 1 21/m 1'
_space_group_IT_number 11
loop_
_space_group_symop_operation_xyz
'x,y,z'
'-x,-y,-z'
'-x,y+1/2,-z'
'x,-y+1/2,z'
loop_
_atom_site_label
_atom_site_fract_x
_atom_site_fract_y
_atom_site_fract_z
Ho1 0.2012 0.2500 0.2438
Tm1 0.3326 0.7500 0.8898
Ta1 0.1457 0.2500 0.5857
N1 0.1012 0.2500 0.7976
N2 0.1955 0.7500 0.4472
N3 0.3988 0.7500 0.1289
```

---

# 2
The following is a computed powder diffraction line list of TbHo4N4. It was derived from the GGA-PBE geometry in Alexandria, using Cu Kα (weighted mean of Kα1 and Kα2).
Neutral-atom scattering factors, no anomalous dispersion.

The 10 most intense peaks (5 to 70 degrees two-theta), in order of falling intensity:
2θ/deg, I/Imax
31.5, 100.0
36.5, 44.1
52.8, 30.1
62.6, 27.3
36.8, 22.1
65.8, 14.6
52.5, 14.6
63.0, 14.5
67.5, 1.5
16.1, 1.2

Atomic structure:
```
data_TbHo4N4
_chemical_formula_sum 'Tb2 Ho8 N8'
_cell_length_a 7.7910
_cell_length_b 7.7910
_cell_length_c 4.8869
_cell_angle_alpha 90.00
_cell_angle_beta 90.00
_cell_angle_gamma 90.00
_space_group_name_H-M_alt 'I 4/m'
_space_group_IT_number 87
_space_group_name_Hall '-I 4'
loop_
_atom_site_label
_atom_site_fract_x
_atom_site_fract_y
_atom_site_fract_z
Tb1 0.0000 0.0000 0.0000
Ho1 0.1093 0.3127 0.5000
N1 0.0991 0.2999 0.0000
```

---

# 3
The following is a computed powder diffraction line list of Tb2HoThN4. It was derived from the GGA-PBE geometry in Alexandria, using Cu Kα (weighted mean of Kα1 and Kα2).
Neutral-atom scattering factors, no anomalous dispersion.

The 10 most intense peaks (5 to 70 degrees two-theta), in order of falling intensity:
2θ/deg, I/Imax
31.0, 100.0
35.9, 46.6
51.8, 40.5
61.5, 30.4
36.0, 23.1
61.7, 15.1
64.6, 12.4
51.6, 8.2
64.7, 4.1
15.4, 2.5

Atomic structure:
```
data_Tb2HoThN4
_chemical_formula_sum 'Tb2 Ho1 Th1 N4'
_cell_length_a 6.1101
_cell_length_b 3.5410
_cell_length_c 6.1118
_cell_angle_alpha 90.00
_cell_angle_beta 109.33
_cell_angle_gamma 90.00
_space_group_name_H-M_alt 'P 1 2/m 1'
_space_group_IT_number 10
loop_
_space_group_symop_operation_xyz
'x,y,z'
'-x,-y,-z'
'-x,y,-z'
'x,-y,z'
loop_
_atom_site_label
_atom_site_fract_x
_atom_site_fract_y
_atom_site_fract_z
Tb1 0.0000 0.0000 0.0000
Tb2 0.5000 0.5000 0.0000
Ho1 0.0000 0.5000 0.5000
Th1 0.5000 0.0000 0.5000
N1 0.2478 0.5000 0.2504
N2 0.2486 0.0000 0.7469
```

---

# 4
The following is a computed powder diffraction line list of Ho4Te3N. It was derived from the GGA-PBE geometry in Alexandria, using Cu Kα (weighted mean of Kα1 and Kα2).
Neutral-atom scattering factors, no anomalous dispersion.

The 10 most intense peaks (5 to 70 degrees two-theta), in order of falling intensity:
2θ/deg, I/Imax
32.5, 100.0
30.0, 86.1
21.0, 50.8
37.2, 50.1
22.4, 49.3
36.0, 35.3
29.1, 30.8
47.5, 30.3
37.7, 25.9
42.3, 24.0

Atomic structure:
```
data_Ho4Te3N
_chemical_formula_sum 'Ho8 Te6 N2'
_cell_length_a 9.9811
_cell_length_b 7.9345
_cell_length_c 5.9638
_cell_angle_alpha 90.00
_cell_angle_beta 90.00
_cell_angle_gamma 90.00
_space_group_name_H-M_alt 'P m n 21'
_space_group_IT_number 31
loop_
_space_group_symop_operation_xyz
'x,y,z'
'-x+1/2,-y,z+1/2'
'-x,y,z'
'x+1/2,-y,z+1/2'
loop_
_atom_site_label
_atom_site_fract_x
_atom_site_fract_y
_atom_site_fract_z
Ho1 0.0000 0.1271 0.0000
Ho2 0.0000 0.8625 0.4764
Ho3 0.2032 0.2339 0.4576
Te1 0.0000 0.7478 0.9783
Te2 0.2387 0.3568 0.9595
N1 0.0000 0.1364 0.3777
```

---

# 5
The following is a computed powder diffraction line list of Ho2Te2N. It was derived from the GGA-PBE geometry in Alexandria, using Cu Kα (weighted mean of Kα1 and Kα2).
Neutral-atom scattering factors, no anomalous dispersion.

The 10 most intense peaks (5 to 70 degrees two-theta), in order of falling intensity:
2θ/deg, I/Imax
29.2, 100.0
29.8, 70.1
36.7, 58.5
36.5, 58.5
30.9, 27.1
42.4, 24.8
43.4, 24.4
26.0, 23.9
52.5, 19.4
57.0, 17.7

Atomic structure:
```
data_Ho2Te2N
_chemical_formula_sum 'Ho8 Te8 N4'
_cell_length_a 7.4529
_cell_length_b 11.5871
_cell_length_c 5.9990
_cell_angle_alpha 90.00
_cell_angle_beta 90.00
_cell_angle_gamma 90.00
_space_group_name_H-M_alt 'I b a m'
_space_group_IT_number 72
_space_group_name_Hall '-I 2 2c'
loop_
_atom_site_label
_atom_site_fract_x
_atom_site_fract_y
_atom_site_fract_z
Ho1 0.1773 0.0849 0.0000
Te1 0.1078 0.3512 0.0000
N1 0.0000 0.0000 0.2500
```

---

# 6
The following is a computed powder diffraction line list of Ho3Th5N8. It was derived from the GGA-PBE geometry in Alexandria, using Cu Kα (weighted mean of Kα1 and Kα2).
Neutral-atom scattering factors, no anomalous dispersion.

The 10 most intense peaks (5 to 70 degrees two-theta), in order of falling intensity:
2θ/deg, I/Imax
30.5, 100.0
35.4, 67.3
50.9, 47.8
60.5, 46.4
63.5, 16.4
15.1, 2.2
29.2, 1.6
38.7, 0.9
53.4, 0.7
46.5, 0.6

Atomic structure:
```
data_Ho3Th5N8
_chemical_formula_sum 'Ho9 Th15 N24'
_cell_length_a 7.1760
_cell_length_b 7.1760
_cell_length_c 17.5797
_cell_angle_alpha 90.00
_cell_angle_beta 90.00
_cell_angle_gamma 120.00
_space_group_name_H-M_alt 'R -3 m'
_space_group_IT_number 166
_space_group_name_Hall '-R 3 2"'
loop_
_atom_site_label
_atom_site_fract_x
_atom_site_fract_y
_atom_site_fract_z
Ho1 0.0000 0.5000 0.0000
Th1 0.0000 0.0000 0.0000
Th2 0.0000 0.0000 0.5000
Th3 0.0000 0.5000 0.5000
N1 0.0000 0.0000 0.2519
N2 0.0049 0.5025 0.2525
```

---

# 7
The following is a computed powder diffraction line list of Ho2ThN3. It was derived from the GGA-PBE geometry in Alexandria, using Cu Kα (weighted mean of Kα1 and Kα2).
Neutral-atom scattering factors, no anomalous dispersion.

The 10 most intense peaks (5 to 70 degrees two-theta), in order of falling intensity:
2θ/deg, I/Imax
29.8, 100.0
42.3, 44.5
29.5, 31.5
42.4, 30.0
52.8, 24.7
61.8, 21.1
42.6, 14.9
69.8, 12.9
61.6, 8.4
61.5, 7.9

Atomic structure:
```
data_Ho2ThN3
_chemical_formula_sum 'Ho8 Th4 N12'
_cell_length_a 13.5698
_cell_length_b 3.4705
_cell_length_c 8.4960
_cell_angle_alpha 90.00
_cell_angle_beta 108.82
_cell_angle_gamma 90.00
_space_group_name_H-M_alt 'C 1 2/m 1'
_space_group_IT_number 12
loop_
_space_group_symop_operation_xyz
'x,y,z'
'-x,-y,-z'
'-x,y,-z'
'x,-y,z'
'x+1/2,y+1/2,z'
'-x+1/2,-y+1/2,-z'
'-x+1/2,y+1/2,-z'
'x+1/2,-y+1/2,z'
loop_
_atom_site_label
_atom_site_fract_x
_atom_site_fract_y
_atom_site_fract_z
Ho1 0.1735 0.0000 0.3390
Ho2 0.1736 0.5000 0.8397
Th1 0.0000 0.0000 0.5000
Th2 0.0000 0.5000 0.0000
N1 0.0306 0.5000 0.3043
N2 0.1426 0.0000 0.0259
N3 0.1953 0.0000 0.6381
```

---

# 8
The following is a computed powder diffraction line list of HoThZrN3. It was derived from the GGA-PBE geometry in Alexandria, using Cu Kα (weighted mean of Kα1 and Kα2).
Neutral-atom scattering factors, no anomalous dispersion.

The 10 most intense peaks (5 to 70 degrees two-theta), in order of falling intensity:
2θ/deg, I/Imax
34.7, 100.0
33.0, 96.1
30.9, 55.4
30.4, 44.6
31.3, 27.7
54.5, 25.7
28.3, 25.1
49.6, 24.0
27.8, 21.6
57.8, 20.8

Atomic structure:
```
data_HoThZrN3
_chemical_formula_sum 'Ho2 Th2 Zr2 N6'
_cell_length_a 5.9274
_cell_length_b 3.4520
_cell_length_c 8.9090
_cell_angle_alpha 90.00
_cell_angle_beta 102.78
_cell_angle_gamma 90.00
_space_group_name_H-M_alt 'P 1 21/m 1'
_space_group_IT_number 11
loop_
_space_group_symop_operation_xyz
'x,y,z'
'-x,-y,-z'
'-x,y+1/2,-z'
'x,-y+1/2,z'
loop_
_atom_site_label
_atom_site_fract_x
_atom_site_fract_y
_atom_site_fract_z
Ho1 0.2308 0.2500 0.4525
Th1 0.3504 0.7500 0.8097
Zr1 0.1334 0.7500 0.1373
N1 0.0482 0.2500 0.6653
N2 0.2523 0.2500 0.0080
N3 0.4449 0.7500 0.3275
```

---

# 9
The following is a computed powder diffraction line list of Ho4UN4. It was derived from the GGA-PBE geometry in Alexandria, using Cu Kα (weighted mean of Kα1 and Kα2).
Neutral-atom scattering factors, no anomalous dispersion.

The 10 most intense peaks (5 to 70 degrees two-theta), in order of falling intensity:
2θ/deg, I/Imax
31.7, 100.0
36.9, 43.0
52.9, 30.4
63.2, 29.3
36.6, 22.0
66.3, 15.0
62.8, 15.0
53.2, 14.6
21.4, 3.9
52.4, 1.1

Atomic structure:
```
data_Ho4UN4
_chemical_formula_sum 'Ho8 U2 N8'
_cell_length_a 7.7055
_cell_length_b 7.7055
_cell_length_c 4.9133
_cell_angle_alpha 90.00
_cell_angle_beta 90.00
_cell_angle_gamma 90.00
_space_group_name_H-M_alt 'I 4/m'
_space_group_IT_number 87
_space_group_name_Hall '-I 4'
loop_
_atom_site_label
_atom_site_fract_x
_atom_site_fract_y
_atom_site_fract_z
Ho1 0.1033 0.6925 0.0000
U1 0.0000 0.0000 0.5000
N1 0.0920 0.7150 0.5000
```

---

# 10
The following is a computed powder diffraction line list of Ho2WN4. It was derived from the GGA-PBE geometry in Alexandria, using Cu Kα (weighted mean of Kα1 and Kα2).
Neutral-atom scattering factors, no anomalous dispersion.

The 10 most intense peaks (5 to 70 degrees two-theta), in order of falling intensity:
2θ/deg, I/Imax
31.0, 100.0
30.1, 97.4
28.9, 58.8
36.6, 48.9
47.3, 32.4
52.5, 26.4
50.1, 26.4
60.6, 22.8
54.6, 19.2
47.1, 15.1

Atomic structure:
```
data_Ho2WN4
_chemical_formula_sum 'Ho16 W8 N32'
_cell_length_a 6.5217
_cell_length_b 10.3737
_cell_length_c 12.3666
_cell_angle_alpha 90.00
_cell_angle_beta 90.00
_cell_angle_gamma 90.00
_space_group_name_H-M_alt 'F d d d'
_space_group_IT_number 70
loop_
_space_group_symop_operation_xyz
'x,y,z'
'-x,-y,-z'
'-x+1/4,-y+1/4,z'
'x+1/4,y+1/4,-z'
'x,-y+1/4,-z+1/4'
'-x,y+1/4,z+1/4'
'-x+1/4,y,-z+1/4'
'x+1/4,-y,z+1/4'
'x,y+1/2,z+1/2'
'-x,-y+1/2,-z+1/2'
'-x+1/4,-y+3/4,z+1/2'
'x+1/4,y+3/4,-z+1/2'
'x,-y+3/4,-z+3/4'
'-x,y+3/4,z+3/4'
'-x+1/4,y+1/2,-z+3/4'
'x+1/4,-y+1/2,z+3/4'
'x+1/2,y,z+1/2'
'-x+1/2,-y,-z+1/2'
'-x+3/4,-y+1/4,z+1/2'
'x+3/4,y+1/4,-z+1/2'
'x+1/2,-y+1/4,-z+3/4'
'-x+1/2,y+1/4,z+3/4'
'-x+3/4,y,-z+3/4'
'x+3/4,-y,z+3/4'
'x+1/2,y+1/2,z'
'-x+1/2,-y+1/2,-z'
'-x+3/4,-y+3/4,z'
'x+3/4,y+3/4,-z'
'x+1/2,-y+3/4,-z+1/4'
'-x+1/2,y+3/4,z+1/4'
'-x+3/4,y+1/2,-z+1/4'
'x+3/4,-y+1/2,z+1/4'
loop_
_atom_site_label
_atom_site_fract_x
_atom_site_fract_y
_atom_site_fract_z
Ho1 0.1250 0.3182 0.1250
W1 0.1250 0.1250 0.6250
N1 0.0375 0.2562 0.9514
```